# 1
Computed X-ray powder pattern of RbAcPt2O8 for Cu Ka, from a PBE-relaxed structure.
Lines closer than 0.1° are merged.

Largest 10 diffraction maxima, sorted by position, 5° ≤ 2θ ≤ 70°:
| d [Å] | 2θ (°) | I_rel |
| --- | --- | --- |
| 7.754 | 11.4 | 100 |
| 3.877 | 22.9 | 24 |
| 3.004 | 29.7 | 46 |
| 2.801 | 32.0 | 37 |
| 2.374 | 37.9 | 39 |
| 1.959 | 46.3 | 13 |
| 1.734 | 52.8 | 12 |
| 1.692 | 54.2 | 11 |
| 1.629 | 56.5 | 11 |
| 1.583 | 58.3 | 12 |

Structure:
```
data_RbAcPt2O8
_space_group_name_H-M_alt 'P -3'
_space_group_IT_number 147
_cell_length_a 6.0071
_cell_length_b 6.0071
_cell_length_c 7.7543
_cell_angle_alpha 90.00
_cell_angle_beta 90.00
_cell_angle_gamma 120.00
loop_
_space_group_symop_operation_xyz
'x,y,z'
'-x,-y,-z'
'-y,x-y,z'
'y,-x+y,-z'
'-x+y,-x,z'
'x-y,x,-z'
loop_
_atom_site_label
_atom_site_fract_x
_atom_site_fract_y
_atom_site_fract_z
Rb1 0.0000 0.0000 0.0000
Ac1 0.0000 0.0000 0.5000
Pt1 0.3333 0.6667 0.4611
O1 0.0694 0.4072 0.6211
O2 0.3333 0.6667 0.2234
```

# 2
Computed X-ray powder pattern of AcScPtO4 for Cu Ka, from a PBE-relaxed structure.
Lines closer than 0.1° are merged.

Largest 10 diffraction maxima, sorted by position, 5° ≤ 2θ ≤ 70°:
| d [Å] | 2θ (°) | I_rel |
| --- | --- | --- |
| 4.390 | 20.2 | 100 |
| 2.880 | 31.1 | 45 |
| 2.606 | 34.4 | 83 |
| 2.408 | 37.3 | 46 |
| 2.104 | 43.0 | 17 |
| 2.036 | 44.5 | 24 |
| 1.699 | 54.0 | 15 |
| 1.604 | 57.4 | 43 |
| 1.555 | 59.4 | 12 |
| 1.461 | 63.7 | 14 |

Structure:
```
data_AcScPtO4
_space_group_name_H-M_alt 'I -4'
_space_group_IT_number 82
_cell_length_a 5.7594
_cell_length_b 5.7594
_cell_length_c 6.7817
_cell_angle_alpha 90.00
_cell_angle_beta 90.00
_cell_angle_gamma 90.00
loop_
_space_group_symop_operation_xyz
'x,y,z'
'y,-x,-z'
'-x,-y,z'
'-y,x,-z'
'x+1/2,y+1/2,z+1/2'
'y+1/2,-x+1/2,-z+1/2'
'-x+1/2,-y+1/2,z+1/2'
'-y+1/2,x+1/2,-z+1/2'
loop_
_atom_site_label
_atom_site_fract_x
_atom_site_fract_y
_atom_site_fract_z
Ac1 0.0000 0.0000 0.0000
Sc1 0.0000 0.0000 0.5000
Pt1 0.0000 0.5000 0.7500
O1 0.1761 0.8047 0.7026
```

# 3
Computed X-ray powder pattern of Ac2ScPtO8 for Cu Ka, from a PBE-relaxed structure.
Lines closer than 0.1° are merged.

Largest 10 diffraction maxima, sorted by position, 5° ≤ 2θ ≤ 70°:
| d [Å] | 2θ (°) | I_rel |
| --- | --- | --- |
| 3.678 | 24.2 | 77 |
| 3.261 | 27.3 | 54 |
| 2.995 | 29.8 | 100 |
| 2.798 | 32.0 | 53 |
| 2.718 | 33.0 | 27 |
| 2.233 | 40.4 | 26 |
| 2.028 | 44.7 | 41 |
| 1.879 | 48.4 | 29 |
| 1.851 | 49.2 | 24 |
| 1.613 | 57.1 | 23 |

Structure:
```
data_Ac2ScPtO8
_space_group_name_H-M_alt 'P 1 2/m 1'
_space_group_IT_number 10
_cell_length_a 4.4996
_cell_length_b 7.1791
_cell_length_c 5.4764
_cell_angle_alpha 90.00
_cell_angle_beta 97.01
_cell_angle_gamma 90.00
loop_
_space_group_symop_operation_xyz
'x,y,z'
'-x,-y,-z'
'-x,y,-z'
'x,-y,z'
loop_
_atom_site_label
_atom_site_fract_x
_atom_site_fract_y
_atom_site_fract_z
Ac1 0.0000 0.2468 0.0000
Sc1 0.5000 0.5000 0.5000
Pt1 0.5000 0.0000 0.5000
O1 0.0738 0.0000 0.3909
O2 0.1102 0.5000 0.2622
O3 0.4472 0.2207 0.7303
```

# 4
Computed X-ray powder pattern of AcSmPtO6 for Cu Ka, from a PBE-relaxed structure.
Lines closer than 0.1° are merged.

Largest 10 diffraction maxima, sorted by position, 5° ≤ 2θ ≤ 70°:
| d [Å] | 2θ (°) | I_rel |
| --- | --- | --- |
| 3.588 | 24.8 | 100 |
| 2.830 | 31.6 | 46 |
| 2.633 | 34.1 | 11 |
| 2.222 | 40.6 | 27 |
| 1.928 | 47.1 | 42 |
| 1.748 | 52.3 | 27 |
| 1.653 | 55.6 | 11 |
| 1.634 | 56.3 | 14 |
| 1.427 | 65.4 | 7 |
| 1.388 | 67.5 | 11 |

Structure:
```
data_AcSmPtO6
_space_group_name_H-M_alt 'P 3 1 2'
_space_group_IT_number 149
_cell_length_a 5.6603
_cell_length_b 5.6603
_cell_length_c 5.2659
_cell_angle_alpha 90.00
_cell_angle_beta 90.00
_cell_angle_gamma 120.00
loop_
_space_group_symop_operation_xyz
'x,y,z'
'-y,x-y,z'
'-x+y,-x,z'
'-y,-x,-z'
'-x+y,y,-z'
'x,x-y,-z'
loop_
_atom_site_label
_atom_site_fract_x
_atom_site_fract_y
_atom_site_fract_z
Ac1 0.0000 0.0000 0.0000
Sm1 0.6667 0.3333 0.5000
Pt1 0.3333 0.6667 0.5000
O1 0.0437 0.3791 0.2836
```